Calculated powder XRD pattern
Compound: Pm7Nd2Y4
Radiation: a wavelength of 1.5418 Å
Structure: a PBE-relaxed structure

Structural model:
```
data_Pm7Nd2Y4
_chemical_formula_sum 'Pm7 Nd2 Y4'
_cell_length_a 6.282
_cell_length_b 8.122
_cell_length_c 9.613
_cell_angle_alpha 65.01
_cell_angle_beta 83.93
_cell_angle_gamma 82.74
_space_group_name_H-M_alt 'P -1'
_space_group_IT_number 2
_space_group_name_Hall '-P 1'
loop_
_atom_site_label
_atom_site_fract_x
_atom_site_fract_y
_atom_site_fract_z
Pm1 0.000 0.000 0.000
Pm2 0.075 0.846 0.693
Pm3 0.230 0.539 0.077
Pm4 0.385 0.231 0.461
Nd1 0.154 0.694 0.384
Y1 0.307 0.385 0.770
Y2 0.463 0.077 0.153
```

Largest 10 diffraction maxima, sorted by position, 10 to 80 degrees two-theta:
- 2.965 Å, 2θ 30.14, intensity 100, hkl 2 1 0
- 2.568 Å, 2θ 34.94, intensity 51, hkl 1 3 2
- 1.817 Å, 2θ 50.22, intensity 30, hkl 0 3 5
- 1.812 Å, 2θ 50.37, intensity 6, hkl 3 2 3
- 1.550 Å, 2θ 59.65, intensity 21, hkl 0 5 4
- 1.547 Å, 2θ 59.76, intensity 18, hkl 4 0 1
- 1.546 Å, 2θ 59.83, intensity 4, hkl 3 4 2
- 1.484 Å, 2θ 62.59, intensity 6, hkl 0 4 -2
- 1.481 Å, 2θ 62.73, intensity 6, hkl 4 2 0
- 1.283 Å, 2θ 73.86, intensity 4, hkl 2 6 4